# La6PmDy4
Simulated XRD peak list, copper Kα. Input: DFT lattice parameters and positions (PBE).
Intensities are scaled so that the largest is 100.

Structural model:
a = 5.947 Å, b = 9.862 Å, c = 26.331 Å
α = 90.00°, β = 90.00°, γ = 90.00°
Space group Cmcm (No. 63)
Unique sites:
La (0.000, 0.000, 0.000) (multiplicity 4)
La (0.000, 0.048, 0.250) (multiplicity 4)
La (0.000, 0.304, 0.598) (multiplicity 8)
La (0.000, 0.373, 0.181) (multiplicity 8)
Pm (0.000, 0.293, 0.750) (multiplicity 4)
Dy (0.000, 0.039, 0.125) (multiplicity 8)
Dy (0.000, 0.347, 0.045) (multiplicity 8)

Most intense lines, 5 to 70 degrees two-theta, sorted by position:
2theta  I_rel  h k l
29.52  69  1 1 7
29.88  60  0 2 7
30.05  83  2 0 0
31.08  100  1 3 0
31.27  47  1 3 1
32.39  71  1 1 8
42.89  45  2 2 7
54.02  21  3 3 0
54.81  33  1 5 7
55.92  21  2 4 8

=====

# La4PmDy5
Simulated XRD peak list, copper Kα. Input: DFT lattice parameters and positions (PBE).
Intensities are scaled so that the largest is 100.

Structural model:
a = 10.746 Å, b = 10.746 Å, c = 5.903 Å
α = 90.00°, β = 90.00°, γ = 90.00°
Space group P4/nmm (No. 129, origin choice 2)
Unique sites:
La (0.045, 0.750, 0.127) (multiplicity 8)
Pm (0.250, 0.250, 0.885) (multiplicity 2)
Dy (0.090, 0.090, 0.347) (multiplicity 8)
Dy (0.250, 0.750, 0.500) (multiplicity 2)

Most intense lines, 5 to 70 degrees two-theta, sorted by position:
2theta  I_rel  h k l
27.93  23  2 2 1
29.16  100  3 0 1
30.35  60  3 1 1
31.43  39  1 0 2
35.44  34  3 3 0
50.99  18  6 0 0
52.68  32  4 3 2
58.11  13  4 0 3
59.82  17  6 3 1
68.35  14  7 3 1

=====

# La4Pm2Dy5
Simulated XRD peak list, copper Kα. Input: DFT lattice parameters and positions (PBE).
Intensities are scaled so that the largest is 100.

Structural model:
a = 17.878 Å, b = 3.561 Å, c = 11.834 Å
α = 90.00°, β = 94.58°, γ = 90.00°
Space group C2/m (No. 12)
Unique sites:
La (0.037, 0.000, 0.261) (multiplicity 4)
La (0.141, 0.500, 0.797) (multiplicity 4)
Pm (0.214, 0.500, 0.354) (multiplicity 4)
Dy (0.000, 0.500, 0.000) (multiplicity 2)
Dy (0.097, 0.000, 0.540) (multiplicity 4)
Dy (0.178, 0.000, 0.069) (multiplicity 4)

Most intense lines, 5 to 70 degrees two-theta, sorted by position:
2theta  I_rel  h k l
29.53  32  1 1 -2
29.94  23  1 1 2
30.47  100  6 0 -1
31.18  59  2 0 -4
31.53  56  4 0 3
32.46  42  3 1 -2
33.60  27  3 1 2
36.91  18  5 1 1
60.84  20  6 2 -1
61.48  27  4 2 3